This entry pairs a crystal structure of Sm2Zn3Au with its simulated XRD peak list. Radiation: Cu Kα. Structure: a crystal structure in Alexandria, relaxed with PBE.

The 10 most intense peaks (15° ≤ 2θ ≤ 90°), in order of rising 2θ:
Position (°2θ)	I_rel	(hkl)
23.08	94	1 1 3
33.86	1000	2 2 2
39.29	444	0 2 6
39.47	215	0 4 0
51.40	99	4 0 0
52.74	97	2 0 8
52.93	188	2 4 4
66.56	180	4 2 6
66.68	89	4 4 0
67.83	90	2 4 8

Structural model:
```
data_Sm2Zn3Au
_chemical_formula_sum 'Sm16 Zn24 Au8'
_symmetry_space_group_name_H-M 'F m m m'
_symmetry_Int_Tables_number 69
_symmetry_space_group_name_Hall '-F 2 2'
_cell_length_a 7.1111
_cell_length_b 9.1319
_cell_length_c 15.9089
_cell_angle_alpha 90.00
_cell_angle_beta 90.00
_cell_angle_gamma 90.00
loop_
_atom_site_label
_atom_site_type_symbol
_atom_site_fract_x
_atom_site_fract_y
_atom_site_fract_z
_atom_site_occupancy
Sm1 Sm 0.2424 0.0000 0.0000 1
Sm2 Sm 0.2500 0.2500 0.2500 1
Zn1 Zn 0.0000 0.0000 0.3372 1
Zn2 Zn 0.0000 0.2449 0.4182 1
Au1 Au 0.0000 0.0000 0.1677 1
```